# 1
Zn8AgAu4: theoretical XRD peak list (Cu Ka), based on the PBE geometry in Alexandria.
Lines closer than 0.1° are merged.

Largest 8 diffraction maxima, low angle first, 2θ = 10–80°:
Position (°2θ)  I_rel
23.0  33
37.5  51
40.5  100
41.4  43
43.0  68
57.1  21
74.9  16
78.9  17

Structural model:
```
Zn8AgAu4
1.0
2.922 0.000 0.000
0.000 4.358 0.000
0.000 0.000 16.825
Zn Ag Au
8 1 4
Direct
0.000 0.000 0.000
0.000 0.000 0.277
0.000 0.500 0.173
0.000 0.500 0.465
0.500 0.000 0.426
0.500 0.000 0.708
0.500 0.500 0.617
0.500 0.500 0.965
0.500 0.000 0.863
0.000 0.000 0.567
0.000 0.500 0.768
0.500 0.000 0.134
0.500 0.500 0.323
```



# 2
ZnCd3Pb: theoretical XRD peak list (Cu Ka), based on the PBE geometry in Alexandria.
Lines closer than 0.1° are merged.

Largest 8 diffraction maxima, low angle first, 2θ = 10–80°:
Position (°2θ)  I_rel
32.4  69
32.8  49
35.4  18
35.9  100
37.6  34
38.5  32
52.3  18
66.8  16

Structural model:
```
ZnCd3Pb
1.0
7.434 0.000 0.000
0.000 3.496 0.000
-2.494 0.000 9.022
Zn Cd Pb
2 6 2
Direct
0.011 0.000 0.255
0.989 0.500 0.745
0.176 0.501 0.516
0.179 0.501 0.085
0.413 0.001 0.353
0.587 0.501 0.647
0.821 0.001 0.915
0.824 0.001 0.484
0.342 0.001 0.848
0.658 0.501 0.152
```



# 3
SmAuO: theoretical XRD peak list (Cu Ka), based on the PBE geometry in Alexandria.
Lines closer than 0.1° are merged.

Largest 8 diffraction maxima, low angle first, 2θ = 10–80°:
Position (°2θ)  I_rel
12.0  13
31.9  64
33.2  100
34.2  11
43.3  16
45.7  29
57.7  42
75.8  11

Structural model:
```
SmAuO
1.0
3.969 0.000 0.000
0.000 3.969 0.000
0.000 0.000 7.365
Sm Au O
2 2 2
Direct
0.250 0.250 0.158
0.750 0.750 0.842
0.250 0.250 0.582
0.750 0.750 0.418
0.250 0.750 0.000
0.750 0.250 0.000
```



# 4
Ac2Pm5PrNd: theoretical XRD peak list (Cu Ka), based on the PBE geometry in Alexandria.
Lines closer than 0.1° are merged.

Largest 8 diffraction maxima, low angle first, 2θ = 10–80°:
Position (°2θ)  I_rel
25.6  13
27.1  17
28.9  42
30.3  43
31.0  100
54.3  21
57.2  14
58.6  15

Structural model:
```
Ac2Pm5PrNd
1.0
2.946 -10.342 0.000
2.946 10.342 0.000
0.000 0.000 11.073
Ac Pm Pr Nd
4 10 2 2
Direct
0.113 0.887 0.500
0.119 0.881 0.094
0.881 0.119 0.594
0.887 0.113 0.000
0.020 0.980 0.797
0.284 0.716 0.077
0.296 0.704 0.472
0.396 0.604 0.794
0.479 0.521 0.510
0.521 0.479 0.010
0.604 0.396 0.294
0.704 0.296 0.972
0.716 0.284 0.577
0.980 0.020 0.297
0.413 0.587 0.230
0.587 0.413 0.730
0.210 0.790 0.777
0.790 0.210 0.277
```



# 5
Zn2Ga3Hg: theoretical XRD peak list (Cu Ka), based on the PBE geometry in Alexandria.
Lines closer than 0.1° are merged.

Largest 8 diffraction maxima, low angle first, 2θ = 10–80°:
Position (°2θ)  I_rel
21.7  100
24.2  41
29.4  50
36.4  37
42.2  68
42.6  42
43.9  35
44.3  54

Structural model:
```
Zn2Ga3Hg
1.0
6.084 -4.382 0.000
6.084 4.382 0.000
0.000 0.000 5.001
Zn Ga Hg
4 6 2
Direct
0.203 0.203 0.000
0.203 0.203 0.500
0.797 0.797 0.000
0.797 0.797 0.500
0.064 0.529 0.750
0.064 0.936 0.750
0.471 0.936 0.750
0.529 0.064 0.250
0.936 0.064 0.250
0.936 0.471 0.250
0.400 0.600 0.750
0.600 0.400 0.250
```